The following is a calculated powder XRD pattern of CoGeO6F6. It was derived from a PBE+U-relaxed structure, using copper Kα.
Intensities are scaled so that the largest is 100.

Peak list (10 most intense, 2θ = 10–80°, sorted by position)
2θ/deg, I/Imax, h k l
20.0, 100, 1 1 -1
21.7, 35, 0 0 2
22.4, 27, 0 2 0
26.2, 35, 1 1 1
31.3, 13, 0 2 2
32.8, 17, 1 1 -3
41.6, 18, 1 3 1
41.8, 15, 2 2 0
53.1, 10, 1 1 -5
55.7, 10, 1 3 3

Crystal structure
Cell lengths 5.5627, 7.9537, 8.8518 Å; angles 90.00, 112.10, 90.00 degrees
Element x y z (fractional)
Co (0.0000, 0.0000, 0.0000)
Co (0.0000, 0.5000, 0.5000)
Ge (0.5000, 0.0000, 0.5000)
Ge (0.5000, 0.5000, 0.0000)
O (0.1358, 0.0753, 0.8599)
O (0.1358, 0.4247, 0.3599)
O (0.1437, 0.1773, 0.1302)
O (0.1437, 0.3227, 0.6302)
O (0.3094, 0.6029, 0.5711)
O (0.3094, 0.8971, 0.0711)
O (0.6906, 0.1029, 0.9289)
O (0.6906, 0.3971, 0.4289)
O (0.8563, 0.6773, 0.3698)
O (0.8563, 0.8227, 0.8698)
O (0.8642, 0.5753, 0.6401)
O (0.8642, 0.9247, 0.1401)
F (0.2106, 0.1365, 0.4513)
F (0.2106, 0.3635, 0.9513)
F (0.2857, 0.6702, 0.8892)
F (0.2857, 0.8298, 0.3892)
F (0.4666, 0.5671, 0.1898)
F (0.4666, 0.9329, 0.6898)
F (0.5334, 0.0671, 0.3102)
F (0.5334, 0.4329, 0.8102)
F (0.7143, 0.1702, 0.6108)
F (0.7143, 0.3298, 0.1108)
F (0.7894, 0.6365, 0.0487)
F (0.7894, 0.8635, 0.5487)